Entry 1:
Diffraction record for LiMoP2O7. The X-ray diffraction stick pattern is simulated, not measured: it uses a structure optimized by DFT (PBE+U) and Cu Kα.

Structure:
```
LiMoP2O7
1.0
7.1476 0.0000 0.0000
0.0000 8.5028 0.0000
-3.6871 0.0000 8.3499
Li Mo P O
4 4 8 28
direct
0.2128 0.0456 0.3338
0.2128 0.4544 0.8338
0.7872 0.5456 0.1662
0.7872 0.9544 0.6662
0.2597 0.0798 0.8868
0.2597 0.4202 0.3868
0.7403 0.5798 0.6132
0.7403 0.9202 0.1132
0.0401 0.7282 0.9692
0.0401 0.7718 0.4692
0.4390 0.7294 0.2524
0.4390 0.7706 0.7524
0.5610 0.2294 0.2476
0.5610 0.2706 0.7476
0.9599 0.2282 0.5308
0.9599 0.2718 0.0308
0.0174 0.0970 0.6578
0.0174 0.4030 0.1578
0.0751 0.6112 0.4099
0.0751 0.8888 0.9099
0.1134 0.2360 0.4512
0.1134 0.2640 0.9512
0.2499 0.6583 0.0998
0.2499 0.8417 0.5998
0.3842 0.2336 0.3040
0.3842 0.2664 0.8040
0.3842 0.6202 0.8083
0.3842 0.8798 0.3083
0.4822 0.5902 0.3767
0.4822 0.9098 0.8767
0.5178 0.0902 0.1233
0.5178 0.4098 0.6233
0.6158 0.1202 0.6917
0.6158 0.3798 0.1917
0.6158 0.7336 0.1960
0.6158 0.7664 0.6960
0.7501 0.1583 0.4002
0.7501 0.3417 0.9002
0.8866 0.7360 0.0488
0.8866 0.7640 0.5488
0.9249 0.1112 0.0901
0.9249 0.3888 0.5901
0.9826 0.5970 0.8422
0.9826 0.9030 0.3422
```

Peak list (12 most intense, 15° ≤ 2θ ≤ 90°, sorted by position)
| d (Å) | 2theta | intensity |
| --- | --- | --- |
| 5.215 | 17.00 | 94 |
| 3.575 | 24.91 | 50 |
| 3.078 | 29.01 | 71 |
| 3.064 | 29.14 | 80 |
| 3.010 | 29.68 | 100 |
| 2.864 | 31.23 | 26 |
| 2.601 | 34.48 | 28 |
| 2.592 | 34.61 | 24 |
| 2.179 | 41.45 | 22 |
| 2.151 | 42.01 | 37 |
| 1.728 | 52.98 | 22 |
| 1.608 | 57.31 | 24 |



Entry 2:
Diffraction record for LiMoP2WO11. The X-ray diffraction stick pattern is simulated, not measured: it uses a structure optimized by DFT (PBE+U) and Cu Kα.

Structure:
```
LiMoP2WO11
1.0
4.1497 -3.2373 0.0000
4.1497 3.2373 0.0000
-1.6916 0.0000 7.6966
Li Mo P W O
1 1 2 1 11
direct
0.0000 0.0000 0.0000
0.6495 0.6495 0.2210
0.2428 0.2428 0.3235
0.7483 0.7483 0.6646
0.3457 0.3457 0.7755
0.0357 0.6593 0.7602
0.1641 0.1641 0.8551
0.2362 0.2362 0.5203
0.3244 0.9565 0.2295
0.4218 0.4218 0.3064
0.4908 0.4908 0.9863
0.5695 0.5695 0.6812
0.6593 0.0357 0.7602
0.7648 0.7648 0.4754
0.8187 0.8187 0.1271
0.9565 0.3244 0.2295
```

Peak list (12 most intense, 15° ≤ 2θ ≤ 90°, sorted by position)
| d (Å) | 2theta | intensity |
| --- | --- | --- |
| 5.059 | 17.53 | 100 |
| 4.514 | 19.67 | 75 |
| 4.053 | 21.93 | 38 |
| 3.989 | 22.28 | 40 |
| 3.953 | 22.49 | 95 |
| 3.848 | 23.11 | 94 |
| 3.306 | 26.97 | 29 |
| 3.237 | 27.55 | 92 |
| 2.882 | 31.03 | 72 |
| 2.477 | 36.26 | 26 |
| 2.312 | 38.95 | 30 |
| 1.984 | 45.72 | 29 |